For Hf2Ag, the PBE geometry in Alexandria gives the computed powder X-ray diffraction pattern in this record (Cu Kα, 1.54184 Å).

```
data_Hf2Ag
_cell_length_a 3.2210
_cell_length_b 3.2210
_cell_length_c 12.0096
_cell_angle_alpha 90.00
_cell_angle_beta 90.00
_cell_angle_gamma 90.00
_space_group_name_H-M_alt 'I 4/m m m'
_space_group_IT_number 139
_space_group_name_Hall '-I 4 2'
loop_
_atom_site_label
_atom_site_type_symbol
_atom_site_fract_x
_atom_site_fract_y
_atom_site_fract_z
Hf1 Hf 0.0000 0.0000 0.1654
Ag1 Ag 0.0000 0.0000 0.5000
```

Principal peaks in the range 2θ from 10° to 90°, in order of falling intensity:
| d/Å | 2theta | I (rel.) |
| --- | --- | --- |
| 2.510 | 35.8 | 100 |
| 2.278 | 39.6 | 38 |
| 1.355 | 69.3 | 29 |
| 1.504 | 61.7 | 20 |
| 2.002 | 45.3 | 13 |
| 1.610 | 57.2 | 13 |



For Ag2SnTeSe2, the PBE geometry in Alexandria gives the computed powder X-ray diffraction pattern in this record (Cu Kα, 1.54184 Å).

```
data_Ag2SnTeSe2
_cell_length_a 13.0331
_cell_length_b 7.6838
_cell_length_c 7.3319
_cell_angle_alpha 90.00
_cell_angle_beta 90.00
_cell_angle_gamma 90.00
_space_group_name_H-M_alt 'C m c 21'
_space_group_IT_number 36
_space_group_name_Hall 'C 2c -2'
loop_
_atom_site_label
_atom_site_type_symbol
_atom_site_fract_x
_atom_site_fract_y
_atom_site_fract_z
Ag1 Ag 0.1727 0.1566 0.0000
Sn1 Sn 0.0000 0.3155 0.4570
Te1 Te 0.0000 0.3274 0.8498
Se1 Se 0.1677 0.1665 0.3637
```

Principal peaks in the range 2θ from 10° to 90°, in order of falling intensity:
| d/Å | 2theta | I (rel.) |
| --- | --- | --- |
| 3.782 | 23.5 | 100 |
| 2.053 | 44.1 | 92 |
| 2.206 | 40.9 | 91 |
| 3.666 | 24.3 | 89 |
| 3.361 | 26.5 | 71 |
| 1.891 | 48.1 | 68 |



For Pr4Mg5Zn2, the PBE geometry in Alexandria gives the computed powder X-ray diffraction pattern in this record (Cu Kα, 1.54184 Å).

```
data_Pr4Mg5Zn2
_cell_length_a 8.1689
_cell_length_b 3.4921
_cell_length_c 10.5274
_cell_angle_alpha 90.00
_cell_angle_beta 93.84
_cell_angle_gamma 90.00
_space_group_name_H-M_alt 'P 1 2/m 1'
_space_group_IT_number 10
_space_group_name_Hall '-P 2y'
loop_
_atom_site_label
_atom_site_type_symbol
_atom_site_fract_x
_atom_site_fract_y
_atom_site_fract_z
Pr1 Pr 0.1530 0.0000 0.3707
Pr2 Pr 0.2555 0.0000 0.9483
Mg1 Mg 0.2017 0.5000 0.6654
Mg2 Mg 0.4335 0.5000 0.2037
Mg3 Mg 0.5000 0.5000 0.5000
Zn1 Zn 0.0558 0.5000 0.1313
```

Principal peaks in the range 2θ from 10° to 90°, in order of falling intensity:
| d/Å | 2theta | I (rel.) |
| --- | --- | --- |
| 2.547 | 35.2 | 100 |
| 8.150 | 10.9 | 93 |
| 2.772 | 32.3 | 76 |
| 2.707 | 33.1 | 65 |
| 2.652 | 33.8 | 65 |
| 2.410 | 37.3 | 64 |



For RbUTe2Br, the PBE geometry in Alexandria gives the computed powder X-ray diffraction pattern in this record (Cu Kα, 1.54184 Å).

```
data_RbUTe2Br
_cell_length_a 9.7692
_cell_length_b 4.4739
_cell_length_c 9.8982
_cell_angle_alpha 90.00
_cell_angle_beta 103.94
_cell_angle_gamma 90.00
_space_group_name_H-M_alt 'P 1 21/m 1'
_space_group_IT_number 11
_space_group_name_Hall '-P 2yb'
loop_
_atom_site_label
_atom_site_type_symbol
_atom_site_fract_x
_atom_site_fract_y
_atom_site_fract_z
Rb1 Rb 0.2315 0.2500 0.3221
U1 U 0.3408 0.2500 0.8307
Te1 Te 0.3355 0.7500 0.0461
Te2 Te 0.3702 0.7500 0.6342
Br1 Br 0.0478 0.2500 0.7502
```

Principal peaks in the range 2θ from 10° to 90°, in order of falling intensity:
| d/Å | 2theta | I (rel.) |
| --- | --- | --- |
| 3.264 | 27.3 | 100 |
| 3.274 | 27.2 | 90 |
| 7.745 | 11.4 | 73 |
| 3.160 | 28.2 | 43 |
| 2.114 | 42.8 | 40 |
| 2.237 | 40.3 | 38 |



For Na2PrTlF8, the PBE geometry in Alexandria gives the computed powder X-ray diffraction pattern in this record (Cu Kα, 1.54184 Å).

```
data_Na2PrTlF8
_cell_length_a 3.9238
_cell_length_b 5.6163
_cell_length_c 7.8326
_cell_angle_alpha 90.00
_cell_angle_beta 90.00
_cell_angle_gamma 90.00
_space_group_name_H-M_alt 'P m m m'
_space_group_IT_number 47
_space_group_name_Hall '-P 2 2'
loop_
_atom_site_label
_atom_site_type_symbol
_atom_site_fract_x
_atom_site_fract_y
_atom_site_fract_z
Na1 Na 0.0000 0.0000 0.2387
Pr1 Pr 0.5000 0.5000 0.5000
Tl1 Tl 0.5000 0.5000 0.0000
F1 F 0.0000 0.2576 0.5000
F2 F 0.0000 0.2697 0.0000
F3 F 0.5000 0.2649 0.2413
```

Principal peaks in the range 2θ from 10° to 90°, in order of falling intensity:
| d/Å | 2theta | I (rel.) |
| --- | --- | --- |
| 3.214 | 27.8 | 100 |
| 5.616 | 15.8 | 58 |
| 1.973 | 46.0 | 47 |
| 3.920 | 22.7 | 46 |
| 1.673 | 54.9 | 30 |
| 2.486 | 36.1 | 25 |



For Tl3In10Bi3, the PBE geometry in Alexandria gives the computed powder X-ray diffraction pattern in this record (Cu Kα, 1.54184 Å).

```
data_Tl3In10Bi3
_cell_length_a 9.4630
_cell_length_b 9.4630
_cell_length_c 6.2592
_cell_angle_alpha 90.00
_cell_angle_beta 90.00
_cell_angle_gamma 120.00
_space_group_name_H-M_alt 'P -6 2 m'
_space_group_IT_number 189
_space_group_name_Hall 'P -6 -2'
loop_
_atom_site_label
_atom_site_type_symbol
_atom_site_fract_x
_atom_site_fract_y
_atom_site_fract_z
Tl1 Tl 0.0000 0.5969 0.0000
In1 In 0.0000 0.2066 0.0000
In2 In 0.0000 0.7912 0.5000
In3 In 0.3333 0.6667 0.2474
Bi1 Bi 0.0000 0.4133 0.5000
```

Principal peaks in the range 2θ from 10° to 90°, in order of falling intensity:
| d/Å | 2theta | I (rel.) |
| --- | --- | --- |
| 2.776 | 32.2 | 100 |
| 2.610 | 34.4 | 43 |
| 1.452 | 64.1 | 27 |
| 3.097 | 28.8 | 26 |
| 1.730 | 52.9 | 25 |
| 3.774 | 23.6 | 22 |



For Dy8Tm, the PBE geometry in Alexandria gives the computed powder X-ray diffraction pattern in this record (Cu Kα, 1.54184 Å).

```
data_Dy8Tm
_cell_length_a 10.5920
_cell_length_b 10.5920
_cell_length_c 4.9814
_cell_angle_alpha 90.00
_cell_angle_beta 90.00
_cell_angle_gamma 90.00
_space_group_name_H-M_alt 'I 4/m m m'
_space_group_IT_number 139
_space_group_name_Hall '-I 4 2'
loop_
_atom_site_label
_atom_site_type_symbol
_atom_site_fract_x
_atom_site_fract_y
_atom_site_fract_z
Dy1 Dy 0.0000 0.3330 0.0000
Dy2 Dy 0.1663 0.1663 0.5000
Tm1 Tm 0.0000 0.0000 0.0000
```

Principal peaks in the range 2θ from 10° to 90°, in order of falling intensity:
| d/Å | 2theta | I (rel.) |
| --- | --- | --- |
| 2.881 | 31.0 | 100 |
| 2.495 | 36.0 | 51 |
| 1.764 | 51.8 | 36 |
| 1.505 | 61.6 | 29 |
| 1.503 | 61.7 | 14 |
| 1.440 | 64.7 | 12 |